Simulated PXRD pattern of KMgMnF6 for Cu Kα (λ = 1.5418 Å), from DFT lattice parameters and positions (GGA+U).

Largest 10 diffraction maxima, in order of rising 2θ, 2θ = 5–70°:
2θ/deg, Rel. int.
15.4, 474
19.4, 137
24.9, 1000
33.9, 111
37.4, 155
37.4, 142
46.6, 242
46.7, 313
55.4, 119
60.5, 112

Crystal structure
Lattice parameters (Å, degrees): 5.290 5.290 5.739 90.04 90.04 119.82
Element x y z (fractional)
1 K 0.000 0.000 0.000
2 Mg 0.666 0.334 0.500
3 Mn 0.333 0.667 0.500
4 F 0.010 0.382 0.688
5 F 0.011 0.631 0.315
6 F 0.369 0.989 0.685
7 F 0.370 0.384 0.312
8 F 0.616 0.630 0.688
9 F 0.618 0.990 0.312